Nd12Tl6Rh: calculated PXRD pattern (CuKα), based on a crystal structure in Alexandria, relaxed with GGA-PBE.
Intensities are scaled so that the largest is 100.

Crystal structure
Unit cell a=8.5825 b=8.5825 c=8.5825 alpha=93.98 beta=93.98 gamma=93.98
Positions (direct):
Nd 0.0295 0.6837 0.9124
Nd 0.0876 0.9705 0.3163
Nd 0.1999 0.5444 0.4265
Nd 0.3163 0.0876 0.9705
Nd 0.4265 0.1999 0.5444
Nd 0.4556 0.5735 0.8001
Nd 0.5444 0.4265 0.1999
Nd 0.5735 0.8001 0.4556
Nd 0.6837 0.9124 0.0295
Nd 0.8001 0.4556 0.5735
Nd 0.9124 0.0295 0.6837
Nd 0.9705 0.3163 0.0876
Tl 0.1392 0.3462 0.7324
Tl 0.2676 0.8608 0.6538
Tl 0.3462 0.7324 0.1392
Tl 0.6538 0.2676 0.8608
Tl 0.7324 0.1392 0.3462
Tl 0.8608 0.6538 0.2676
Rh 0.0000 0.0000 0.0000

Largest 10 diffraction maxima, most intense first, 10° ≤ 2θ ≤ 90°:
d (Å)	intensity
2.945	100
2.592	70
2.762	42
3.287	37
2.290	19
2.642	18
1.650	16
3.709	15
5.824	15
1.515	14

***

Nd2Tl3Rh: calculated PXRD pattern (CuKα), based on a crystal structure in Alexandria, relaxed with GGA-PBE.
Intensities are scaled so that the largest is 100.

Crystal structure
Unit cell a=3.7727 b=5.0128 c=8.5529 alpha=90.00 beta=90.00 gamma=90.00
Positions (direct):
Nd 0.0000 0.0000 0.0000
Nd 0.0000 0.5000 0.4219
Tl 0.5000 0.0000 0.5894
Tl 0.5000 0.5000 0.1222
Tl 0.5000 0.5000 0.7767
Rh 0.5000 0.0000 0.2621

Largest 10 diffraction maxima, most intense first, 10° ≤ 2θ ≤ 90°:
d (Å)	intensity
2.843	100
2.478	65
2.829	42
2.506	42
1.501	28
1.876	26
2.071	24
3.773	21
1.886	18
1.507	18

***

Nd6TlRh2: calculated PXRD pattern (CuKα), based on a crystal structure in Alexandria, relaxed with GGA-PBE.
Intensities are scaled so that the largest is 100.

Crystal structure
Unit cell a=8.8040 b=8.8040 c=8.8040 alpha=113.52 beta=110.07 gamma=104.94
Positions (direct):
Nd 0.0316 0.2339 0.7978
Nd 0.1800 0.2928 0.4729
Nd 0.1800 0.7072 0.8872
Nd 0.3293 0.0212 0.6919
Nd 0.3293 0.6374 0.3081
Nd 0.4361 0.2339 0.2022
Nd 0.5639 0.7661 0.7978
Nd 0.6707 0.3626 0.6919
Nd 0.6707 0.9788 0.3081
Nd 0.8200 0.2928 0.1128
Nd 0.8200 0.7072 0.5271
Nd 0.9684 0.7661 0.2022
Tl 0.0000 0.0000 0.0000
Tl 0.5000 0.5000 0.0000
Rh 0.1331 0.6331 0.5000
Rh 0.3373 0.0000 0.3373
Rh 0.6627 0.0000 0.6627
Rh 0.8669 0.3669 0.5000

Largest 10 diffraction maxima, most intense first, 10° ≤ 2θ ≤ 90°:
d (Å)	intensity
2.924	100
2.733	88
2.763	48
2.672	46
1.598	37
3.065	30
2.630	28
2.413	26
2.392	22
2.682	19